This entry pairs a crystal structure of Cs2In2Se3 with its theoretical XRD peak list. Radiation: Cu Kα (λ = 1.5418 Å). Structure: a PBE-relaxed structure.
Neutral-atom scattering factors, no anomalous dispersion.

Most intense lines, 2θ from 5° to 70°, sorted by position:
hkl 0 1 -2, 2θ 22.05, I = 477; hkl 1 -1 1, 2θ 25.47, I = 469; hkl 1 1 -1, 2θ 25.93, I = 1000; hkl -1 1 2, 2θ 28.08, I = 504; hkl 1 1 -2, 2θ 28.31, I = 952; hkl -1 2 1, 2θ 28.50, I = 815; hkl 0 2 1, 2θ 29.90, I = 906; hkl 0 2 -3, 2θ 35.08, I = 516; hkl -2 1 1, 2θ 39.66, I = 978; hkl 1 0 -4, 2θ 44.03, I = 594

```
data_Cs2In2Se3
_cell_length_a 4.543
_cell_length_b 8.203
_cell_length_c 8.530
_cell_angle_alpha 103.54
_cell_angle_beta 105.44
_cell_angle_gamma 106.03
_space_group_name_H-M_alt 'P -1'
_space_group_IT_number 2
_space_group_name_Hall '-P 1'
loop_
_atom_site_label
_atom_site_type_symbol
_atom_site_fract_x
_atom_site_fract_y
_atom_site_fract_z
_atom_site_occupancy
Cs1 Cs 0.211 0.157 0.264 1
In1 In 0.106 0.412 0.798 1
Se1 Se 0.000 0.500 0.500 1
Se2 Se 0.410 0.740 0.082 1
```